The following is a simulated powder diffractogram of Ba2AlH7. It was derived from the GGA-PBE geometry in the Materials Project, using Cu Kα X-rays.

Most intense lines, 2θ = 10–90°, in order of rising 2θ:
index	2θ (°)	I_rel
2 2 -1	21.97	100.0
0 0 2	22.88	73.5
3 1 -2	25.04	34.8
1 3 0	26.77	31.5
2 2 1	27.41	98.1
4 0 0	27.50	70.2
1 3 -1	27.98	25.9
2 2 -3	35.93	35.0
4 0 2	43.20	33.2
2 2 3	46.29	29.5

Crystal structure
```
data_Ba2AlH7
_chemical_formula_sum 'Ba16 Al8 H56'
_symmetry_space_group_name_H-M 'C 1 2/c 1'
_symmetry_Int_Tables_number 15
_cell_length_a 14.2772
_cell_length_b 10.3393
_cell_length_c 8.5672
_cell_angle_alpha 90.00
_cell_angle_beta 114.84
_cell_angle_gamma 90.00
loop_
_symmetry_equiv_pos_as_xyz
'x,y,z'
'-x,-y,-z'
'-x,y,-z+1/2'
'x,-y,z+1/2'
'x+1/2,y+1/2,z'
'-x+1/2,-y+1/2,-z'
'-x+1/2,y+1/2,-z+1/2'
'x+1/2,-y+1/2,z+1/2'
loop_
_atom_site_label
_atom_site_type_symbol
_atom_site_fract_x
_atom_site_fract_y
_atom_site_fract_z
Ba1 Ba 0.0940 0.1653 0.0173
Ba2 Ba 0.1426 0.4233 0.4805
Al1 Al 0.1750 0.1432 0.6976
H1 H 0.0578 0.3955 0.1261
H2 H 0.0811 0.0425 0.7126
H3 H 0.0996 0.1544 0.4744
H4 H 0.1004 0.2766 0.7190
H5 H 0.2353 0.2527 0.3275
H6 H 0.2415 0.0057 0.6792
H7 H 0.2482 0.1424 0.9194
```